No. 1
Simulated X-ray diffraction stick pattern of Tb2NdSm4Tm2 for Cu Kα (weighted mean of Kα1 and Kα2), from a crystal structure in Alexandria, relaxed with GGA-PBE.
Peak positions follow from Bragg's law for the DFT cell and can differ from measured ones.

The 6 most intense peaks (2θ from 10° to 90°), most intense first:
hkl 3 1 1, 2θ = 30.5°, rel. 100; hkl 0 2 0, 2θ = 35.4°, rel. 51; hkl 6 0 2, 2θ = 50.9°, rel. 36; hkl 9 1 0, 2θ = 60.5°, rel. 29; hkl 3 3 1, 2θ = 60.6°, rel. 14; hkl 6 2 2, 2θ = 63.6°, rel. 12

Cell and atoms:
```
data_Tb2NdSm4Tm2
_cell_length_a 15.2311
_cell_length_b 5.0653
_cell_length_c 8.0189
_cell_angle_alpha 90.00
_cell_angle_beta 108.42
_cell_angle_gamma 90.00
_space_group_name_H-M_alt 'C 1 2/m 1'
_space_group_IT_number 12
_space_group_name_Hall '-C 2y'
loop_
_atom_site_label
_atom_site_type_symbol
_atom_site_fract_x
_atom_site_fract_y
_atom_site_fract_z
Tb1 Tb 0.1115 0.0000 0.1673
Nd1 Nd 0.0000 0.0000 0.5000
Sm1 Sm 0.0549 0.5000 0.8322
Sm2 Sm 0.2227 0.0000 0.8315
Tm1 Tm 0.1683 0.5000 0.4995
```

=====

No. 2
Simulated X-ray diffraction stick pattern of TbNd4Sm2Tm for Cu Kα (weighted mean of Kα1 and Kα2), from a crystal structure in Alexandria, relaxed with GGA-PBE.
Peak positions follow from Bragg's law for the DFT cell and can differ from measured ones.

The 6 most intense peaks (2θ from 10° to 90°), most intense first:
hkl 1 1 2, 2θ = 30.2°, rel. 100; hkl 0 2 4, 2θ = 50.4°, rel. 18; hkl 0 2 0, 2θ = 34.8°, rel. 17; hkl 2 0 0, 2θ = 35.0°, rel. 17; hkl 0 0 4, 2θ = 35.2°, rel. 17; hkl 1 3 2, 2θ = 59.5°, rel. 15

Cell and atoms:
```
data_TbNd4Sm2Tm
_cell_length_a 5.1342
_cell_length_b 5.1572
_cell_length_c 10.1933
_cell_angle_alpha 90.00
_cell_angle_beta 90.07
_cell_angle_gamma 90.00
_space_group_name_H-M_alt 'P 1 2/m 1'
_space_group_IT_number 10
_space_group_name_Hall '-P 2y'
loop_
_atom_site_label
_atom_site_type_symbol
_atom_site_fract_x
_atom_site_fract_y
_atom_site_fract_z
Tb1 Tb 0.0000 0.0000 0.0000
Nd1 Nd 0.0004 0.5000 0.2516
Nd2 Nd 0.5002 0.0000 0.2508
Sm1 Sm 0.0000 0.0000 0.5000
Sm2 Sm 0.5000 0.5000 0.0000
Tm1 Tm 0.5000 0.5000 0.5000
```

=====

No. 3
Simulated X-ray diffraction stick pattern of TbNd6Sm2Tm for Cu Kα (weighted mean of Kα1 and Kα2), from a crystal structure in Alexandria, relaxed with GGA-PBE.
Peak positions follow from Bragg's law for the DFT cell and can differ from measured ones.

The 6 most intense peaks (2θ from 10° to 90°), most intense first:
hkl 2 2 2, 2θ = 30.9°, rel. 100; hkl 3 1 -1, 2θ = 30.1°, rel. 99; hkl 1 5 0, 2θ = 30.6°, rel. 44; hkl 1 3 -3, 2θ = 33.2°, rel. 42; hkl 1 3 2, 2θ = 28.0°, rel. 39; hkl 2 2 -2, 2θ = 27.5°, rel. 21

Cell and atoms:
```
data_TbNd6Sm2Tm
_cell_length_a 9.2489
_cell_length_b 15.4162
_cell_length_c 9.7474
_cell_angle_alpha 90.00
_cell_angle_beta 97.81
_cell_angle_gamma 90.00
_space_group_name_H-M_alt 'C 1 2/c 1'
_space_group_IT_number 15
_space_group_name_Hall '-C 2yc'
loop_
_atom_site_label
_atom_site_type_symbol
_atom_site_fract_x
_atom_site_fract_y
_atom_site_fract_z
Tb1 Tb 0.0000 0.0233 0.2500
Nd1 Nd 0.0603 0.1817 0.9457
Nd2 Nd 0.1019 0.3932 0.1180
Nd3 Nd 0.2097 0.2212 0.3102
Sm1 Sm 0.2491 0.0501 0.5440
Tm1 Tm 0.0000 0.4105 0.7500
```